Nb3Mo2W: simulated powder diffraction line list (Cu Kα (λ = 1.5418 Å)), based on a PBE-relaxed structure.
Neutral-atom scattering factors, no anomalous dispersion.

Peak list (10 most intense, 2θ from 10° to 80°, in order of rising 2θ)
two_theta	d [Å]	I/Imax	index
15.12	5.860	5	0 1 1
27.15	3.284	2	1 1 2
27.56	3.237	3	1 0 3
39.34	2.290	100	2 0 0
39.49	2.282	20	0 0 6
56.80	1.621	7	0 4 0
56.94	1.617	13	2 0 6
71.28	1.323	20	3 2 3
71.38	1.321	7	0 4 6
71.53	1.319	13	1 2 9

```
data_Nb3Mo2W
_symmetry_space_group_name_H-M 'I m m a'
_symmetry_Int_Tables_number 74
_symmetry_space_group_name_Hall '-I 2b 2'
_cell_length_a 4.5840
_cell_length_b 6.4832
_cell_length_c 13.6919
_cell_angle_alpha 90.00
_cell_angle_beta 90.00
_cell_angle_gamma 90.00
loop_
_atom_site_label
_atom_site_type_symbol
_atom_site_fract_x
_atom_site_fract_y
_atom_site_fract_z
Nb1 Nb 0.0000 0.0000 0.0000
Nb2 Nb 0.0000 0.0012 0.3336
Mo1 Mo 0.0000 0.2500 0.1664
Mo2 Mo 0.0000 0.2500 0.5008
W1 W 0.0000 0.2500 0.8326
```

---

NbMo5W6: simulated powder diffraction line list (Cu Kα (λ = 1.5418 Å)), based on a PBE-relaxed structure.
Neutral-atom scattering factors, no anomalous dispersion.

Peak list (6 most intense, 2θ from 10° to 80°, in order of rising 2θ)
two_theta	d [Å]	I/Imax	index
28.01	3.185	11	1 0 3
40.03	2.252	100	2 0 0
49.57	1.839	3	2 2 0
57.90	1.593	17	2 0 6
65.53	1.425	5	3 0 3
72.72	1.300	34	3 2 3

```
data_NbMo5W6
_symmetry_space_group_name_H-M 'I m m m'
_symmetry_Int_Tables_number 71
_symmetry_space_group_name_Hall '-I 2 2'
_cell_length_a 4.5038
_cell_length_b 6.3752
_cell_length_c 13.5071
_cell_angle_alpha 90.00
_cell_angle_beta 90.00
_cell_angle_gamma 90.00
loop_
_atom_site_label
_atom_site_type_symbol
_atom_site_fract_x
_atom_site_fract_y
_atom_site_fract_z
Nb1 Nb 0.0000 0.0000 0.0000
Mo1 Mo 0.0000 0.0000 0.3334
Mo2 Mo 0.0000 0.5000 0.0000
Mo3 Mo 0.0000 0.5000 0.3323
W1 W 0.0000 0.2475 0.5000
W2 W 0.0000 0.2512 0.1678
```

---

Nb2Mo2W5: simulated powder diffraction line list (Cu Kα (λ = 1.5418 Å)), based on a PBE-relaxed structure.
Neutral-atom scattering factors, no anomalous dispersion.

Peak list (10 most intense, 2θ from 10° to 80°, in order of rising 2θ)
two_theta	d [Å]	I/Imax	index
17.00	5.215	36	1 0 -1
26.17	3.405	22	2 -1 0
39.91	2.259	50	-3 1 1
40.07	2.250	100	2 -2 2
40.50	2.227	96	0 3 -1
40.68	2.218	47	2 1 1
58.13	1.587	33	3 -4 0
58.61	1.575	16	1 0 4
72.67	1.301	9	5 -3 1
72.93	1.297	25	1 -3 5

```
data_Nb2Mo2W5
_symmetry_space_group_name_H-M 'P 1'
_symmetry_Int_Tables_number 1
_symmetry_space_group_name_Hall 'P 1'
_cell_length_a 6.9512
_cell_length_b 7.0638
_cell_length_c 7.0982
_cell_angle_alpha 102.10
_cell_angle_beta 96.34
_cell_angle_gamma 108.44
loop_
_atom_site_label
_atom_site_type_symbol
_atom_site_fract_x
_atom_site_fract_y
_atom_site_fract_z
Nb1 Nb 0.0000 0.0000 0.0000
Nb2 Nb 0.1947 0.4205 0.2010
Nb3 Nb 0.5734 0.1745 0.5807
Nb4 Nb 0.7858 0.5974 0.7943
Mo1 Mo 0.1878 0.6544 0.9467
Mo2 Mo 0.5816 0.4354 0.3431
Mo3 Mo 0.7718 0.8388 0.5376
Mo4 Mo 0.9830 0.2427 0.7453
W1 W 0.1739 0.1457 0.4455
W2 W 0.1878 0.8936 0.6842
W3 W 0.3827 0.5439 0.6450
W4 W 0.3842 0.2945 0.8902
W5 W 0.5778 0.9405 0.8505
W6 W 0.5851 0.6955 0.0961
W7 W 0.7795 0.3437 0.0435
W8 W 0.7846 0.0905 0.2871
W9 W 0.9808 0.4915 0.4956
W10 W 0.9883 0.7463 0.2509
```